# Li4TlZnPd2
Theoretical powder X-ray diffraction pattern, λ = 1.5418 Å (Cu Kα). Input: a crystal structure in OQMD, relaxed with GGA-PBE.
Peak positions follow from Bragg's law for the DFT cell and can differ from measured ones.

```
data_Li4TlZnPd2
_chemical_formula_sum 'Li4 Tl1 Zn1 Pd2'
_space_group_name_H-M_alt 'P -4 m 2'
_space_group_IT_number 115
_cell_length_a 4.408
_cell_length_b 4.408
_cell_length_c 6.312
_cell_angle_alpha 90.00
_cell_angle_beta 90.00
_cell_angle_gamma 90.00
loop_
_space_group_symop_operation_xyz
'x,y,z'
'y,-x,-z'
'-x,-y,z'
'-y,x,-z'
'-x,y,z'
'-y,-x,-z'
'x,-y,z'
'y,x,-z'
loop_
_atom_site_label
_atom_site_fract_x
_atom_site_fract_y
_atom_site_fract_z
Li1 0.000 0.000 0.000
Li2 0.000 0.500 0.230
Li3 0.500 0.500 0.500
Tl1 0.000 0.000 0.500
Zn1 0.500 0.500 0.000
Pd1 0.000 0.500 0.776
```

Main lines, by angle (10° ≤ 2θ ≤ 80°):
2θ = 20.15°, rel. 12, (1 0 0); 2θ = 24.64°, rel. 100, (1 0 1); 2θ = 32.03°, rel. 12, (1 1 1); 2θ = 40.69°, rel. 60, (1 1 2); 2θ = 40.95°, rel. 31, (2 0 0); 2θ = 47.91°, rel. 15, (1 0 3); 2θ = 48.38°, rel. 32, (2 1 1); 2θ = 59.30°, rel. 10, (2 2 0); 2θ = 64.81°, rel. 12, (2 1 3); 2θ = 74.41°, rel. 20, (3 1 2)